# 1
Computed powder diffraction line list of NdAgSO for copper Kα, from a cell relaxed with GGA-PBE.
Lines closer than 0.1° are merged.

Cell: 5.830 5.831 11.112 Å, 90.00 92.09 90.00°
Element x y z (fractional)
Nd: 0.005 0.000 0.103
Nd: 0.493 0.001 0.896
Nd: 0.507 0.501 0.104
Nd: 0.995 0.500 0.897
Ag: 0.194 0.274 0.497
Ag: 0.499 0.021 0.299
Ag: 0.501 0.521 0.701
Ag: 0.806 0.774 0.503
S: 0.209 0.306 0.286
S: 0.213 0.237 0.709
S: 0.787 0.737 0.291
S: 0.791 0.806 0.714
O: 0.250 0.750 0.000
O: 0.252 0.249 0.000
O: 0.748 0.749 0.000
O: 0.750 0.250 0.000

Top 6 peaks for 2θ from 10° to 80°, sorted by position:
| 2theta | intensity |
| --- | --- |
| 26.60 | 100 |
| 27.28 | 89 |
| 31.73 | 42 |
| 32.08 | 71 |
| 32.94 | 56 |
| 43.94 | 65 |

# 2
Computed powder diffraction line list of NdAg3Sn4O12 for copper Kα, from a cell relaxed with GGA-PBE.
Lines closer than 0.1° are merged.

Cell: 6.862 6.862 6.862 Å, 109.47 109.47 109.47°
Element x y z (fractional)
Nd: 0.000 0.000 0.000
Ag: 0.000 0.500 0.500
Ag: 0.500 0.000 0.500
Ag: 0.500 0.500 0.000
Sn: 0.000 0.000 0.500
Sn: 0.000 0.500 0.000
Sn: 0.500 0.000 0.000
Sn: 0.500 0.500 0.500
O: 0.102 0.284 0.819
O: 0.181 0.465 0.284
O: 0.181 0.898 0.716
O: 0.284 0.181 0.465
O: 0.284 0.819 0.102
O: 0.465 0.284 0.181
O: 0.535 0.716 0.819
O: 0.716 0.181 0.898
O: 0.716 0.819 0.535
O: 0.819 0.102 0.284
O: 0.819 0.535 0.716
O: 0.898 0.716 0.181

Top 6 peaks for 2θ from 10° to 80°, sorted by position:
| 2theta | intensity |
| --- | --- |
| 31.95 | 100 |
| 42.70 | 1 |
| 45.81 | 25 |
| 56.94 | 46 |
| 66.79 | 14 |
| 75.96 | 18 |

# 3
Computed powder diffraction line list of SrNdAg2P2 for copper Kα, from a cell relaxed with GGA-PBE.
Lines closer than 0.1° are merged.

Cell: 4.360 4.360 8.274 Å, 90.00 90.00 120.00°
Element x y z (fractional)
Sr: 0.000 0.000 0.000
Nd: 0.000 0.000 0.499
Ag: 0.333 0.667 0.267
Ag: 0.667 0.333 0.734
P: 0.333 0.667 0.736
P: 0.667 0.333 0.256

Top 6 peaks for 2θ from 10° to 80°, sorted by position:
| 2theta | intensity |
| --- | --- |
| 25.94 | 26 |
| 32.09 | 100 |
| 41.42 | 47 |
| 53.34 | 23 |
| 61.83 | 25 |
| 69.70 | 20 |

# 4
Computed powder diffraction line list of Nd2Ag2SnPb for copper Kα, from a cell relaxed with GGA-PBE.
Lines closer than 0.1° are merged.

Cell: 4.855 4.855 7.670 Å, 90.00 90.00 120.00°
Element x y z (fractional)
Nd: 0.000 0.000 0.000
Nd: 0.000 0.000 0.497
Ag: 0.333 0.667 0.200
Ag: 0.667 0.333 0.685
Sn: 0.667 0.333 0.278
Pb: 0.333 0.667 0.780

Top 6 peaks for 2θ from 10° to 80°, sorted by position:
| 2theta | intensity |
| --- | --- |
| 24.14 | 17 |
| 31.58 | 100 |
| 37.04 | 81 |
| 41.33 | 21 |
| 49.44 | 29 |
| 63.36 | 27 |

# 5
Computed powder diffraction line list of PrNdAg4 for copper Kα, from a cell relaxed with GGA-PBE.
Lines closer than 0.1° are merged.

Cell: 4.818 7.055 8.251 Å, 90.00 90.00 90.00°
Element x y z (fractional)
Pr: 0.000 0.000 0.000
Pr: 0.500 0.500 0.500
Nd: 0.000 0.500 0.931
Nd: 0.500 0.000 0.431
Ag: 0.000 0.212 0.631
Ag: 0.000 0.288 0.300
Ag: 0.000 0.712 0.300
Ag: 0.000 0.788 0.631
Ag: 0.500 0.212 0.800
Ag: 0.500 0.288 0.131
Ag: 0.500 0.712 0.131
Ag: 0.500 0.788 0.800

Top 6 peaks for 2θ from 10° to 80°, sorted by position:
| 2theta | intensity |
| --- | --- |
| 31.23 | 23 |
| 33.30 | 100 |
| 33.42 | 44 |
| 37.33 | 43 |
| 37.66 | 71 |
| 50.97 | 26 |

# 6
Computed powder diffraction line list of NdPuAg for copper Kα, from a cell relaxed with GGA-PBE.
Lines closer than 0.1° are merged.

Cell: 7.013 7.013 7.013 Å, 90.00 90.00 90.00°
Element x y z (fractional)
Nd: 0.000 0.000 0.000
Nd: 0.000 0.500 0.500
Nd: 0.500 0.000 0.500
Nd: 0.500 0.500 0.000
Pu: 0.250 0.250 0.750
Pu: 0.250 0.750 0.250
Pu: 0.750 0.250 0.250
Pu: 0.750 0.750 0.750
Ag: 0.000 0.000 0.500
Ag: 0.000 0.500 0.000
Ag: 0.500 0.000 0.000
Ag: 0.500 0.500 0.500

Top 6 peaks for 2θ from 10° to 80°, sorted by position:
| 2theta | intensity |
| --- | --- |
| 21.95 | 54 |
| 36.23 | 100 |
| 42.76 | 30 |
| 52.17 | 18 |
| 57.26 | 13 |
| 65.16 | 36 |

# 7
Computed powder diffraction line list of RbNdAgTe3 for copper Kα, from a cell relaxed with GGA-PBE.
Lines closer than 0.1° are merged.

Cell: 8.651 8.651 11.678 Å, 90.00 90.00 150.53°
Element x y z (fractional)
Rb: 0.249 0.751 0.750
Rb: 0.751 0.249 0.250
Nd: 0.000 0.000 0.000
Nd: 0.000 0.000 0.500
Ag: 0.465 0.535 0.250
Ag: 0.535 0.465 0.750
Te: 0.073 0.927 0.250
Te: 0.368 0.632 0.054
Te: 0.368 0.632 0.446
Te: 0.632 0.368 0.554
Te: 0.632 0.368 0.946
Te: 0.927 0.073 0.750

Top 6 peaks for 2θ from 10° to 80°, sorted by position:
| 2theta | intensity |
| --- | --- |
| 10.57 | 90 |
| 26.91 | 100 |
| 30.06 | 92 |
| 30.62 | 45 |
| 37.10 | 57 |
| 41.04 | 62 |

# 8
Computed powder diffraction line list of Nd3SiAgS7 for copper Kα, from a cell relaxed with GGA-PBE.
Lines closer than 0.1° are merged.

Cell: 10.309 10.309 5.770 Å, 90.00 90.00 120.00°
Element x y z (fractional)
Nd: 0.123 0.359 0.000
Nd: 0.237 0.877 0.000
Nd: 0.359 0.237 0.500
Nd: 0.641 0.763 0.000
Nd: 0.763 0.123 0.500
Nd: 0.877 0.641 0.500
Si: 0.333 0.667 0.412
Si: 0.667 0.333 0.912
Ag: 0.000 0.000 0.047
Ag: 0.000 0.000 0.547
S: 0.091 0.269 0.515
S: 0.115 0.592 0.266
S: 0.179 0.909 0.515
S: 0.269 0.179 0.015
S: 0.333 0.667 0.778
S: 0.408 0.524 0.266
S: 0.476 0.885 0.266
S: 0.524 0.115 0.766
S: 0.592 0.476 0.766
S: 0.667 0.333 0.278
S: 0.731 0.821 0.515
S: 0.821 0.091 0.015
S: 0.885 0.408 0.766
S: 0.909 0.731 0.015

Top 6 peaks for 2θ from 10° to 80°, sorted by position:
| 2theta | intensity |
| --- | --- |
| 25.22 | 100 |
| 26.41 | 67 |
| 34.81 | 53 |
| 36.28 | 76 |
| 39.61 | 53 |
| 41.17 | 77 |

# 9
Computed powder diffraction line list of NdSmAgS3 for copper Kα, from a cell relaxed with GGA-PBE.
Lines closer than 0.1° are merged.

Cell: 8.925 8.925 8.263 Å, 102.44 102.44 25.05°
Element x y z (fractional)
Nd: 0.135 0.135 0.073
Nd: 0.865 0.865 0.927
Sm: 0.164 0.164 0.592
Sm: 0.836 0.836 0.408
Ag: 0.472 0.472 0.284
Ag: 0.528 0.528 0.716
S: 0.000 0.000 0.500
S: 0.315 0.315 0.150
S: 0.330 0.330 0.657
S: 0.500 0.500 0.000
S: 0.670 0.670 0.343
S: 0.685 0.685 0.850

Top 6 peaks for 2θ from 10° to 80°, sorted by position:
| 2theta | intensity |
| --- | --- |
| 26.49 | 25 |
| 27.91 | 47 |
| 31.65 | 100 |
| 43.83 | 14 |
| 45.06 | 19 |
| 46.94 | 16 |

# 10
Computed powder diffraction line list of SrNdAgTeS2 for copper Kα, from a cell relaxed with GGA-PBE.
Lines closer than 0.1° are merged.

Cell: 7.575 7.575 11.292 Å, 90.00 90.00 148.17°
Element x y z (fractional)
Sr: 0.208 0.792 0.750
Sr: 0.792 0.208 0.250
Nd: 0.000 0.000 0.000
Nd: 0.000 0.000 0.500
Ag: 0.487 0.513 0.250
Ag: 0.513 0.487 0.750
Te: 0.114 0.886 0.250
Te: 0.886 0.114 0.750
S: 0.377 0.623 0.076
S: 0.377 0.623 0.424
S: 0.623 0.377 0.576
S: 0.623 0.377 0.924

Top 6 peaks for 2θ from 10° to 80°, sorted by position:
| 2theta | intensity |
| --- | --- |
| 12.15 | 60 |
| 29.38 | 36 |
| 31.70 | 32 |
| 32.49 | 100 |
| 41.07 | 29 |
| 43.57 | 19 |

# 11
Computed powder diffraction line list of NdScAg2Sn2 for copper Kα, from a cell relaxed with GGA-PBE.
Lines closer than 0.1° are merged.

Cell: 4.716 4.716 7.296 Å, 90.00 90.00 120.00°
Element x y z (fractional)
Nd: 0.000 0.000 0.000
Sc: 0.000 0.000 0.501
Ag: 0.333 0.667 0.680
Ag: 0.667 0.333 0.214
Sn: 0.333 0.667 0.290
Sn: 0.667 0.333 0.765

Top 6 peaks for 2θ from 10° to 80°, sorted by position:
| 2theta | intensity |
| --- | --- |
| 24.99 | 32 |
| 32.92 | 100 |
| 38.17 | 94 |
| 43.30 | 23 |
| 51.27 | 28 |
| 65.68 | 26 |

# 12
Computed powder diffraction line list of NdAgSnTeSe2 for copper Kα, from a cell relaxed with GGA-PBE.
Lines closer than 0.1° are merged.

Cell: 7.398 7.398 11.316 Å, 90.00 90.00 147.10°
Element x y z (fractional)
Nd: 0.000 0.000 0.000
Nd: 0.000 0.000 0.500
Ag: 0.476 0.524 0.750
Ag: 0.524 0.476 0.250
Sn: 0.215 0.785 0.250
Sn: 0.785 0.215 0.750
Te: 0.110 0.890 0.750
Te: 0.890 0.110 0.250
Se: 0.360 0.640 0.567
Se: 0.360 0.640 0.933
Se: 0.640 0.360 0.067
Se: 0.640 0.360 0.433

Top 6 peaks for 2θ from 10° to 80°, sorted by position:
| 2theta | intensity |
| --- | --- |
| 12.48 | 19 |
| 29.56 | 43 |
| 31.63 | 26 |
| 32.64 | 100 |
| 43.18 | 21 |
| 45.26 | 16 |